No. 1
Starting from the GGA-PBE geometry in Alexandria, the X-ray diffraction stick pattern of La2Tb2S7 was calculated for Cu Kα (λ = 1.5418 Å).

Principal peaks in the range 2θ from 15° to 90°, low angle first:
- 2θ = 23.7°, intensity 100, hkl 0 2 2
- 2θ = 24.3°, intensity 56, hkl 1 0 1
- 2θ = 25.0°, intensity 42, hkl 0 4 0
- 2θ = 27.3°, intensity 57, hkl 1 2 1
- 2θ = 35.1°, intensity 98, hkl 1 4 1
- 2θ = 40.0°, intensity 64, hkl 1 2 3

Structural model:
Cell: 4.033 14.272 8.808 Å, 90.00 90.00 90.00°
Space group Imm2 (No. 44)
One atom of each set of equivalent atoms:
La 0.000 0.243 0.000 [4 per cell]
Tb 0.000 0.000 0.244 [2 per cell]
Tb 0.000 0.500 0.191 [2 per cell]
S 0.000 0.000 0.914 [2 per cell]
S 0.000 0.106 0.518 [4 per cell]
S 0.000 0.322 0.303 [4 per cell]
S 0.000 0.367 0.691 [4 per cell]

No. 2
Starting from the GGA-PBE geometry in Alexandria, the X-ray diffraction stick pattern of Ba5Na5Ir was calculated for Cu Kα (λ = 1.5418 Å).

Principal peaks in the range 2θ from 15° to 90°, low angle first:
- 2θ = 15.4°, intensity 100, hkl 1 0 1
- 2θ = 27.3°, intensity 70, hkl 1 2 3
- 2θ = 27.5°, intensity 87, hkl 0 2 4
- 2θ = 28.9°, intensity 71, hkl 2 0 0
- 2θ = 29.3°, intensity 77, hkl 0 3 3
- 2θ = 40.3°, intensity 75, hkl 2 2 4

Structural model:
Cell: 6.182 11.171 15.970 Å, 90.00 90.00 90.00°
Space group Immm (No. 71)
One atom of each set of equivalent atoms:
Ba 0.000 0.000 0.000 [2 per cell]
Ba 0.000 0.309 0.362 [8 per cell]
Na 0.000 0.000 0.250 [4 per cell]
Na 0.000 0.000 0.500 [2 per cell]
Na 0.000 0.500 0.122 [4 per cell]
Ir 0.000 0.500 0.500 [2 per cell]

No. 3
Starting from the GGA-PBE geometry in Alexandria, the X-ray diffraction stick pattern of PrMg9Ni2 was calculated for Cu Kα (λ = 1.5418 Å).

Principal peaks in the range 2θ from 15° to 90°, low angle first:
- 2θ = 20.8°, intensity 100, hkl 2 1 1
- 2θ = 30.3°, intensity 73, hkl 3 2 1
- 2θ = 34.2°, intensity 93, hkl 3 1 2
- 2θ = 34.6°, intensity 55, hkl 4 2 0
- 2θ = 36.8°, intensity 39, hkl 1 0 3
- 2θ = 42.4°, intensity 36, hkl 4 2 2

Structural model:
Cell: 11.580 11.580 7.497 Å, 90.00 90.00 90.00°
Space group I4_1/amd (No. 141, origin choice 2)
One atom of each set of equivalent atoms:
Pr 0.000 0.250 0.375 [4 per cell]
Mg 0.000 0.250 0.875 [4 per cell]
Mg 0.122 0.054 0.691 [32 per cell]
Ni 0.000 0.000 0.000 [8 per cell]

No. 4
Starting from the GGA-PBE geometry in Alexandria, the X-ray diffraction stick pattern of Cs2Rb17 was calculated for Cu Kα (λ = 1.5418 Å).

Principal peaks in the range 2θ from 15° to 90°, low angle first:
- 2θ = 19.0°, intensity 21, hkl 3 0 0
- 2θ = 21.8°, intensity 21, hkl 0 0 6
- 2θ = 22.0°, intensity 100, hkl 2 2 0
- 2θ = 22.2°, intensity 26, hkl 2 0 5
- 2θ = 24.6°, intensity 33, hkl 2 2 3
- 2θ = 38.6°, intensity 19, hkl 6 0 0

Structural model:
Cell: 16.1400 16.1400 24.4299 Å, 90.00 90.00 120.00°
Space group R-3m (No. 166, hexagonal axes)
One atom of each set of equivalent atoms:
Cs 0.0000 0.0000 0.1737 [6 per cell]
Rb 0.0000 0.0000 0.4022 [6 per cell]
Rb 0.0000 0.3013 0.5000 [18 per cell]
Rb 0.0000 0.5000 0.0000 [9 per cell]
Rb 0.0085 0.5042 0.6469 [18 per cell]

No. 5
Starting from the GGA-PBE geometry in Alexandria, the X-ray diffraction stick pattern of V12Ge3Rh was calculated for Cu Kα (λ = 1.5418 Å).

Principal peaks in the range 2θ from 15° to 90°, low angle first:
- 2θ = 37.8°, intensity 47, hkl 2 0 0
- 2θ = 42.4°, intensity 53, hkl 0 1 4
- 2θ = 42.5°, intensity 59, hkl 2 0 2
- 2θ = 46.7°, intensity 100, hkl 1 2 2
- 2θ = 46.8°, intensity 49, hkl 2 1 2
- 2θ = 74.6°, intensity 35, hkl 2 3 2

Structural model:
Cell: 4.751 4.759 9.550 Å, 90.00 90.00 90.00°
Space group Pmmm (No. 47)
One atom of each set of equivalent atoms:
V 0.000 0.000 0.120 [2 per cell]
V 0.000 0.000 0.370 [2 per cell]
V 0.250 0.500 0.250 [4 per cell]
V 0.500 0.246 0.500 [2 per cell]
V 0.500 0.251 0.000 [2 per cell]
Ge 0.000 0.500 0.500 [1 per cell]
Ge 0.500 0.000 0.252 [2 per cell]
Rh 0.000 0.500 0.000 [1 per cell]

No. 6
Starting from the GGA-PBE geometry in Alexandria, the X-ray diffraction stick pattern of CePm2Se3 was calculated for Cu Kα (λ = 1.5418 Å).

Principal peaks in the range 2θ from 15° to 90°, low angle first:
- 2θ = 26.0°, intensity 16, hkl 1 1 0
- 2θ = 30.1°, intensity 100, hkl 1 0 3
- 2θ = 43.1°, intensity 50, hkl 1 2 3
- 2θ = 53.4°, intensity 13, hkl 0 2 6
- 2θ = 53.6°, intensity 13, hkl 2 2 0
- 2θ = 71.0°, intensity 22, hkl 2 2 6

Structural model:
Cell: 4.188 5.937 12.630 Å, 90.00 90.00 90.00°
Space group Immm (No. 71)
One atom of each set of equivalent atoms:
Ce 0.000 0.000 0.000 [2 per cell]
Pm 0.000 0.000 0.332 [4 per cell]
Se 0.000 0.500 0.000 [2 per cell]
Se 0.000 0.500 0.334 [4 per cell]

No. 7
Starting from the GGA-PBE geometry in Alexandria, the X-ray diffraction stick pattern of Li7Tl2Ge was calculated for Cu Kα (λ = 1.5418 Å).

Principal peaks in the range 2θ from 15° to 90°, low angle first:
- 2θ = 16.6°, intensity 23, hkl 0 0 2
- 2θ = 24.1°, intensity 100, hkl 1 0 1
- 2θ = 28.2°, intensity 48, hkl 0 1 2
- 2θ = 34.0°, intensity 25, hkl 1 0 3
- 2θ = 39.7°, intensity 30, hkl 1 1 0
- 2θ = 40.9°, intensity 30, hkl 0 1 4

Structural model:
Cell: 4.5441 4.5441 10.6506 Å, 90.00 90.00 120.00°
Space group P3m1 (No. 156)
One atom of each set of equivalent atoms:
Li 0.0000 0.0000 0.0000 [1 per cell]
Li 0.0000 0.0000 0.2272 [1 per cell]
Li 0.0000 0.0000 0.4819 [1 per cell]
Li 0.3333 0.6667 0.0829 [1 per cell]
Li 0.3333 0.6667 0.6654 [1 per cell]
Li 0.6667 0.3333 0.5704 [1 per cell]
Li 0.6667 0.3333 0.8735 [1 per cell]
Tl 0.0000 0.0000 0.7438 [1 per cell]
Tl 0.3333 0.6667 0.3566 [1 per cell]
Ge 0.6667 0.3333 0.1391 [1 per cell]

No. 8
Starting from the GGA-PBE geometry in Alexandria, the X-ray diffraction stick pattern of LiCuSnIr was calculated for Cu Kα (λ = 1.5418 Å).

Principal peaks in the range 2θ from 15° to 90°, low angle first:
- 2θ = 24.7°, intensity 61, hkl 1 1 1
- 2θ = 40.9°, intensity 100, hkl 2 2 0
- 2θ = 48.4°, intensity 31, hkl 3 1 1
- 2θ = 59.3°, intensity 17, hkl 4 0 0
- 2θ = 65.2°, intensity 13, hkl 3 3 1
- 2θ = 74.5°, intensity 35, hkl 4 2 2

Structural model:
Cell: 6.238 6.238 6.238 Å, 90.00 90.00 90.00°
Space group F-43m (No. 216)
One atom of each set of equivalent atoms:
Li 0.000 0.000 0.000 [4 per cell]
Cu 0.250 0.250 0.250 [4 per cell]
Sn 0.250 0.250 0.750 [4 per cell]
Ir 0.000 0.000 0.500 [4 per cell]